Starting from a DFT-relaxed cell (PBE, the Materials Project), the XRD peak list of LiPtO2 was simulated for Cu Ka.
Kinematic intensities with the Lorentz-polarization factor, no thermal factor.

Peak list (8 most intense, 2θ = 10–80°, low angle first)
18.71 deg, d 4.744, rel. 100
31.89 deg, d 2.807, rel. 26
32.70 deg, d 2.738, rel. 48
34.34 deg, d 2.611, rel. 33
40.12 deg, d 2.248, rel. 21
41.27 deg, d 2.188, rel. 39
45.23 deg, d 2.005, rel. 19
56.24 deg, d 1.636, rel. 27

Cell lengths 5.594, 5.594, 5.148 Å; angles 101.42, 101.42, 118.70 degrees
Element x y z (fractional)
Li 0.000 0.000 0.000
Li 0.329 0.671 0.000
Li 0.671 0.329 0.000
Pt 0.164 0.836 0.500
Pt 0.500 0.500 0.500
Pt 0.836 0.164 0.500
O 0.071 0.432 0.271
O 0.224 0.224 0.735
O 0.432 0.071 0.271
O 0.568 0.929 0.729
O 0.776 0.776 0.265
O 0.929 0.568 0.729

***

Starting from a DFT-relaxed cell (PBE, the Materials Project), the XRD peak list of Li2PtO2 was simulated for Cu Ka.
Kinematic intensities with the Lorentz-polarization factor, no thermal factor.

Peak list (8 most intense, 2θ = 10–80°, low angle first)
19.62 deg, d 4.524, rel. 60
24.99 deg, d 3.563, rel. 100
30.32 deg, d 2.948, rel. 39
37.00 deg, d 2.430, rel. 24
37.80 deg, d 2.380, rel. 23
41.66 deg, d 2.168, rel. 32
42.22 deg, d 2.140, rel. 44
55.51 deg, d 1.656, rel. 24

Cell lengths 5.162, 5.162, 5.162 Å; angles 144.84, 135.90, 57.61 degrees
Element x y z (fractional)
Li 0.189 0.189 0.000
Li 0.811 0.811 0.000
Pt 0.500 0.500 0.000
O 0.350 0.850 0.500
O 0.650 0.150 0.500